(1)
Calculated powder diffractogram
Compound: Sr2VSnO6
Radiation: Cu Kα, 1.54184 Å
Structure: a crystal structure in Alexandria, relaxed with PBE+U
Kinematic intensities with the Lorentz-polarization factor, no thermal factor.

Largest 12 diffraction maxima, sorted by position, 10 to 80 degrees two-theta:
Position (°2θ)	Rel. int.	hkl
19.15	10	0 1 1
31.45	51	1 1 1
31.59	100	1 1 -3
37.17	9	1 0 -4
45.03	17	0 0 4
45.31	33	2 2 -2
56.07	22	3 1 -1
56.25	25	2 0 -6
56.33	11	3 1 -5
65.64	9	2 2 2
65.95	14	2 2 -6
75.05	12	3 3 -5

```
data_Sr2VSnO6
_symmetry_space_group_name_H-M 'P 1 21/c 1'
_symmetry_Int_Tables_number 14
_symmetry_space_group_name_Hall '-P 2ybc'
_cell_length_a 5.6651
_cell_length_b 5.6580
_cell_length_c 9.8188
_cell_angle_alpha 90.00
_cell_angle_beta 124.90
_cell_angle_gamma 90.00
loop_
_atom_site_label
_atom_site_fract_x
_atom_site_fract_y
_atom_site_fract_z
Sr1 0.2454 0.0178 0.2490
V1 0.0000 0.0000 0.5000
Sn1 0.5000 0.0000 0.0000
O1 0.1905 0.2304 0.9670
O2 0.2301 0.7161 0.9724
O3 0.3041 0.0091 0.7461
```

***

(2)
Calculated powder diffractogram
Compound: SrVSnO5
Radiation: Cu Kα, 1.54184 Å
Structure: a crystal structure in Alexandria, relaxed with PBE+U
Kinematic intensities with the Lorentz-polarization factor, no thermal factor.

Largest 12 diffraction maxima, sorted by position, 10 to 80 degrees two-theta:
Position (°2θ)	Rel. int.	hkl
16.58	32	1 1 0
25.96	100	1 1 -2
27.73	79	2 0 0
31.20	89	1 3 0
31.90	61	0 2 2
35.04	22	1 1 2
35.46	23	2 2 -2
41.43	27	3 1 -2
49.17	22	2 2 2
51.27	31	3 3 0
57.49	30	1 3 -4
59.39	21	1 5 2

```
data_SrVSnO5
_symmetry_space_group_name_H-M 'C 1 2/c 1'
_symmetry_Int_Tables_number 15
_symmetry_space_group_name_Hall '-C 2yc'
_cell_length_a 6.9434
_cell_length_b 9.6062
_cell_length_c 7.4598
_cell_angle_alpha 90.00
_cell_angle_beta 112.08
_cell_angle_gamma 90.00
loop_
_atom_site_label
_atom_site_fract_x
_atom_site_fract_y
_atom_site_fract_z
Sr1 0.0000 0.1685 0.2500
V1 0.0000 0.1806 0.7500
Sn1 0.0000 0.5000 0.0000
O1 0.0000 0.4220 0.2500
O2 0.1013 0.2971 0.6104
O3 0.1795 0.0614 0.9210
```